# Y6Ag3Hg
Calculated PXRD pattern, Cu Ka. Input: a crystal structure in Alexandria, relaxed with PBE.
Neutral-atom scattering factors, no anomalous dispersion.

Largest 6 diffraction maxima, by angle, 10° ≤ 2θ ≤ 90°:
Position (°2θ)	I/Imax	hkl
29.5	362	2 1 1
33.1	1000	1 1 3
34.1	874	3 1 -1
36.0	857	0 2 0
41.7	325	1 1 -5
62.9	260	1 3 3

Cell and atoms:
```
Y6Ag3Hg
1.0
9.283 0.000 0.000
0.000 4.991 0.000
-3.340 0.000 11.545
Y Ag Hg
12 6 2
Cartesian
-0.205 1.248 1.312
-1.038 1.248 8.311
0.208 3.743 6.032
2.799 3.743 1.349
2.303 1.248 4.183
0.777 3.743 9.785
5.166 1.248 1.760
3.640 3.743 7.362
3.144 1.248 10.196
5.735 1.248 5.513
6.981 3.743 3.234
6.149 3.743 10.233
-0.788 1.248 4.257
0.603 3.743 3.139
-0.733 1.248 11.270
6.676 3.743 0.276
5.340 1.248 8.407
6.731 3.743 7.289
1.822 1.248 7.388
4.121 3.743 4.157
```